# TlV2CrO8
Theoretical X-ray diffraction stick pattern, copper Kα. Input: a structure optimized by DFT (GGA+U).
Neutral-atom scattering factors, no anomalous dispersion.

Top 10 peaks for 10° ≤ 2θ ≤ 90°, by angle:
(hkl)  d [Å]  2θ/deg  I (rel.)
1 0 0  4.797  18.50  85.0
1 0 1  4.064  21.87  79.4
0 1 2  2.991  29.87  100.0
1 1 0  2.770  32.32  63.3
1 1 1  2.604  34.44  26.2
2 -1 2  2.243  40.20  20.3
0 2 2  2.032  44.59  38.4
2 1 1  1.764  51.82  18.0
3 -2 2  1.638  56.14  34.6
1 1 4  1.574  58.65  20.9

Cell and atoms:
```
data_TlV2CrO8
_cell_length_a 5.5391
_cell_length_b 5.5391
_cell_length_c 7.6519
_cell_angle_alpha 90.00
_cell_angle_beta 90.00
_cell_angle_gamma 120.00
_space_group_name_H-M_alt 'P -3'
_space_group_IT_number 147
loop_
_space_group_symop_operation_xyz
'x,y,z'
'-x,-y,-z'
'-y,x-y,z'
'y,-x+y,-z'
'-x+y,-x,z'
'x-y,x,-z'
loop_
_atom_site_label
_atom_site_type_symbol
_atom_site_fract_x
_atom_site_fract_y
_atom_site_fract_z
Tl1 Tl 0.0000 0.0000 0.0000
V1 V 0.3333 0.6667 0.7182
Cr1 Cr 0.0000 0.0000 0.5000
O1 O 0.1537 0.3175 0.6454
O2 O 0.3333 0.6667 0.9354
```